Diffraction record for Dy6C2O. The PXRD pattern is calculated, not measured: it uses DFT lattice parameters and positions (GGA-PBE) and Cu Kα (weighted mean of Kα1 and Kα2).

Structure:
Unit cell a=6.9605 b=6.9605 c=6.9605 alpha=52.59 beta=52.59 gamma=52.59
Positions (direct):
Dy: 0.0918 0.4284 0.7205
Dy: 0.2795 0.9082 0.5716
Dy: 0.4284 0.7205 0.0918
Dy: 0.5716 0.2795 0.9082
Dy: 0.7205 0.0918 0.4284
Dy: 0.9082 0.5716 0.2795
C: 0.3275 0.3275 0.3275
C: 0.6725 0.6725 0.6725
O: 0.5000 0.5000 0.5000

Top 12 peaks for 10 to 90 degrees two-theta, sorted by position:
Position (°2θ)	d (Å)	Rel. int.
28.96	3.083	19
29.88	2.990	27
32.67	2.741	100
42.10	2.146	21
51.32	1.780	19
54.84	1.674	23
60.53	1.530	20
62.18	1.493	14
68.48	1.370	5
78.41	1.220	7
84.70	1.144	19
87.46	1.115	6